1.
Rb2TlBiF6: computed X-ray diffraction stick pattern (Cu Kα, 1.54184 Å), based on the PBE geometry in Alexandria.

Structural model:
```
data_Rb2TlBiF6
_chemical_formula_sum 'Rb4 Tl2 Bi2 F12'
_symmetry_space_group_name_H-M 'P 1 21/c 1'
_symmetry_Int_Tables_number 14
_cell_length_a 6.7279
_cell_length_b 6.9878
_cell_length_c 11.6517
_cell_angle_alpha 90.00
_cell_angle_beta 124.60
_cell_angle_gamma 90.00
loop_
_symmetry_equiv_pos_as_xyz
'x,y,z'
'-x,-y,-z'
'-x,y+1/2,-z+1/2'
'x,-y+1/2,z+1/2'
loop_
_atom_site_label
_atom_site_type_symbol
_atom_site_fract_x
_atom_site_fract_y
_atom_site_fract_z
Rb1 Rb 0.2293 0.0494 0.2456
Tl1 Tl 0.0000 0.0000 0.5000
Bi1 Bi 0.5000 0.0000 0.0000
F1 F 0.1776 0.1804 0.9521
F2 F 0.2560 0.7349 0.9293
F3 F 0.3883 0.0571 0.7772
```

The 10 most intense peaks (5 to 70 degrees two-theta), by intensity:
2theta, Rel. int., hkl
26.03, 100, 1 1 1
26.25, 98, 1 1 -3
18.31, 54, 1 1 -1
37.10, 49, 2 2 -2
25.49, 47, 0 2 0
26.50, 44, 2 0 -2
46.77, 37, 2 0 -6
46.35, 27, 3 1 -1
37.51, 25, 0 0 4
45.90, 24, 0 2 4

---

2.
CeZr7O16: computed X-ray diffraction stick pattern (Cu Kα, 1.54184 Å), based on the PBE geometry in Alexandria.

Structural model:
```
data_CeZr7O16
_chemical_formula_sum 'Ce2 Zr14 O32'
_symmetry_space_group_name_H-M 'C 1 m 1'
_symmetry_Int_Tables_number 8
_cell_length_a 12.9096
_cell_length_b 7.3437
_cell_length_c 6.4926
_cell_angle_alpha 90.00
_cell_angle_beta 110.78
_cell_angle_gamma 90.00
loop_
_symmetry_equiv_pos_as_xyz
'x,y,z'
'x,-y,z'
'x+1/2,y+1/2,z'
'x+1/2,-y+1/2,z'
loop_
_atom_site_label
_atom_site_type_symbol
_atom_site_fract_x
_atom_site_fract_y
_atom_site_fract_z
Ce1 Ce 0.0000 0.0000 0.0000
Zr1 Zr 0.9998 0.2510 0.4990
Zr2 Zr 0.2478 0.2533 0.9946
Zr3 Zr 0.2491 0.5000 0.4941
Zr4 Zr 0.2527 0.0000 0.5027
Zr5 Zr 0.4986 0.0000 0.0034
O1 O 0.0526 0.2646 0.8941
O2 O 0.0760 0.5000 0.3467
O3 O 0.0775 0.0000 0.3609
O4 O 0.1733 0.2474 0.6506
O5 O 0.2026 0.0000 0.0953
O6 O 0.2075 0.5000 0.1110
O7 O 0.2982 0.2500 0.4038
O8 O 0.3162 0.5000 0.8429
O9 O 0.3274 0.0000 0.8452
O10 O 0.4230 0.2457 0.1513
O11 O 0.4463 0.0000 0.5819
O12 O 0.4485 0.5000 0.5941
```

The 10 most intense peaks (5 to 70 degrees two-theta), by intensity:
2theta, Rel. int., hkl
29.56, 100, 4 0 0
29.43, 34, 0 0 2
49.62, 26, 0 4 0
48.86, 24, 2 2 -3
49.09, 24, 6 2 -1
34.52, 19, 2 2 1
58.88, 18, 6 2 1
33.64, 13, 4 0 -2
57.66, 10, 6 2 -3
58.78, 9, 0 4 2

---

3.
Zn2In12Hg5: computed X-ray diffraction stick pattern (Cu Kα, 1.54184 Å), based on the PBE geometry in Alexandria.

Structural model:
```
data_Zn2In12Hg5
_chemical_formula_sum 'Zn4 In24 Hg10'
_symmetry_space_group_name_H-M 'C 1 2/m 1'
_symmetry_Int_Tables_number 12
_cell_length_a 17.2727
_cell_length_b 9.8229
_cell_length_c 5.9112
_cell_angle_alpha 90.00
_cell_angle_beta 100.85
_cell_angle_gamma 90.00
loop_
_symmetry_equiv_pos_as_xyz
'x,y,z'
'-x,-y,-z'
'-x,y,-z'
'x,-y,z'
'x+1/2,y+1/2,z'
'-x+1/2,-y+1/2,-z'
'-x+1/2,y+1/2,-z'
'x+1/2,-y+1/2,z'
loop_
_atom_site_label
_atom_site_type_symbol
_atom_site_fract_x
_atom_site_fract_y
_atom_site_fract_z
Zn1 Zn 0.0000 0.2498 0.0000
In1 In 0.0466 0.0000 0.2676
In2 In 0.0952 0.5000 0.0482
In3 In 0.0982 0.2321 0.6479
In4 In 0.1891 0.2236 0.2139
Hg1 Hg 0.0000 0.5000 0.5000
Hg2 Hg 0.1943 0.5000 0.5910
Hg3 Hg 0.2116 0.0000 0.8398
```

The 10 most intense peaks (5 to 70 degrees two-theta), by intensity:
2theta, Rel. int., hkl
33.78, 100, 4 2 1
36.59, 60, 0 4 0
37.44, 60, 6 2 -1
31.61, 59, 1 1 -2
29.32, 35, 5 1 -1
41.15, 31, 1 3 -2
30.62, 22, 2 0 -2
27.78, 21, 4 2 0
34.27, 20, 5 1 1
29.83, 17, 4 2 -1

---

> Which formula does entry 3 have?

Zn2In12Hg5